(1)
For Cu14Te3, a GGA-PBE-relaxed structure gives the simulated powder diffractogram in this record (Cu Kα, 1.54184 Å).

Structure:
```
data_Cu14Te3
_chemical_formula_sum 'Cu28 Te6'
_cell_length_a 10.791
_cell_length_b 2.849
_cell_length_c 25.828
_cell_angle_alpha 90.00
_cell_angle_beta 93.46
_cell_angle_gamma 90.00
_symmetry_space_group_name_H-M 'P 1 21/m 1'
_symmetry_Int_Tables_number 11
loop_
_symmetry_equiv_pos_as_xyz
'x,y,z'
'-x,-y,-z'
'-x,y+1/2,-z'
'x,-y+1/2,z'
loop_
_atom_site_label
_atom_site_type_symbol
_atom_site_fract_x
_atom_site_fract_y
_atom_site_fract_z
Cu1 Cu 0.024 0.250 0.097
Cu2 Cu 0.028 0.250 0.826
Cu3 Cu 0.084 0.750 0.022
Cu4 Cu 0.141 0.250 0.947
Cu5 Cu 0.191 0.750 0.142
Cu6 Cu 0.195 0.750 0.870
Cu7 Cu 0.246 0.250 0.791
Cu8 Cu 0.250 0.250 0.067
Cu9 Cu 0.307 0.750 0.991
Cu10 Cu 0.354 0.250 0.189
Cu11 Cu 0.362 0.250 0.915
Cu12 Cu 0.416 0.750 0.112
Cu13 Cu 0.417 0.750 0.839
Cu14 Cu 0.473 0.250 0.038
Te1 Te 0.142 0.750 0.709
Te2 Te 0.143 0.250 0.238
Te3 Te 0.478 0.250 0.749
```

Largest 10 diffraction maxima, by angle, 2θ = 5–70°:
| d (Å) | I_rel | index |
| --- | --- | --- |
| 12.891 | 76 | 0 0 2 |
| 2.303 | 37 | 1 1 6 |
| 2.190 | 100 | 1 1 7 |
| 2.157 | 25 | 3 0 -10 |
| 2.078 | 24 | 1 1 8 |
| 2.061 | 24 | 5 0 3 |
| 2.019 | 24 | 3 0 -11 |
| 2.007 | 36 | 5 0 4 |
| 1.927 | 52 | 4 1 -3 |
| 1.896 | 38 | 4 1 -4 |



(2)
For Cu7Te4, a GGA-PBE-relaxed structure gives the simulated powder diffractogram in this record (Cu Kα, 1.54184 Å).

Structure:
```
data_Cu7Te4
_chemical_formula_sum 'Cu28 Te16'
_cell_length_a 8.3125
_cell_length_b 8.3125
_cell_length_c 33.3260
_cell_angle_alpha 90.00
_cell_angle_beta 90.00
_cell_angle_gamma 120.00
_symmetry_space_group_name_H-M 'P -3 m 1'
_symmetry_Int_Tables_number 164
_symmetry_space_group_name_Hall '-P 3 2"'
loop_
_atom_site_label
_atom_site_type_symbol
_atom_site_fract_x
_atom_site_fract_y
_atom_site_fract_z
Cu1 Cu 0.0150 0.5075 0.3528
Cu2 Cu 0.0302 0.5151 0.5715
Cu3 Cu 0.1688 0.3376 0.6257
Cu4 Cu 0.1735 0.3470 0.4054
Cu5 Cu 0.3333 0.6667 0.3263
Cu6 Cu 0.3333 0.6667 0.5298
Te1 Te 0.1498 0.2995 0.5471
Te2 Te 0.1512 0.3024 0.3264
Te3 Te 0.3333 0.6667 0.4485
Te4 Te 0.3333 0.6667 0.6681
```

Largest 10 diffraction maxima, by angle, 2θ = 5–70°:
| d (Å) | I_rel | index |
| --- | --- | --- |
| 16.663 | 58 | 0 0 2 |
| 11.109 | 80 | 0 0 3 |
| 8.331 | 48 | 0 0 4 |
| 3.703 | 21 | 0 0 9 |
| 3.303 | 37 | 2 0 4 |
| 3.167 | 25 | 2 0 5 |
| 2.445 | 18 | 2 0 10 |
| 2.088 | 39 | 2 0 13 |
| 2.076 | 100 | 2 2 0 |
| 1.985 | 37 | 2 0 14 |



(3)
For Cu7Te4, a GGA-PBE-relaxed structure gives the simulated powder diffractogram in this record (Cu Kα, 1.54184 Å).

Structure:
```
data_Cu7Te4
_chemical_formula_sum 'Cu14 Te8'
_cell_length_a 8.3589
_cell_length_b 8.3589
_cell_length_c 23.3036
_cell_angle_alpha 90.00
_cell_angle_beta 90.00
_cell_angle_gamma 120.00
_symmetry_space_group_name_H-M 'P -3 m 1'
_symmetry_Int_Tables_number 164
_symmetry_space_group_name_Hall '-P 3 2"'
loop_
_atom_site_label
_atom_site_type_symbol
_atom_site_fract_x
_atom_site_fract_y
_atom_site_fract_z
Cu1 Cu 0.0120 0.5060 0.4453
Cu2 Cu 0.1699 0.3398 0.5222
Cu3 Cu 0.3333 0.6667 0.4122
Te1 Te 0.1510 0.3019 0.4100
Te2 Te 0.3333 0.6667 0.5838
```

Largest 10 diffraction maxima, by angle, 2θ = 5–70°:
| d (Å) | I_rel | index |
| --- | --- | --- |
| 11.652 | 100 | 0 0 2 |
| 7.768 | 7 | 0 0 3 |
| 3.457 | 8 | 0 2 2 |
| 3.281 | 7 | 2 0 3 |
| 2.269 | 9 | 2 0 8 |
| 2.106 | 9 | 2 0 9 |
| 2.090 | 11 | 2 2 0 |
| 2.081 | 18 | 2 2 1 |
| 2.057 | 8 | 2 2 2 |
| 1.959 | 7 | 2 0 10 |